No. 1
Structure and calculated powder diffractogram of CeSm4Mg5 (DFT lattice parameters and positions (PBE); Cu Kα (λ = 1.5418 Å)).
No peak broadening, texture or thermal motion is included.

Most intense lines, 10 to 90 degrees two-theta, in order of rising 2θ:
2θ 22.97, I = 30.4; 2θ 23.23, I = 59.2; 2θ 32.90, I = 100.0; 2θ 33.08, I = 49.3; 2θ 40.66, I = 27.7; 2θ 58.97, I = 37.2

Structure:
```
data_CeSm4Mg5
_chemical_formula_sum 'Ce1 Sm4 Mg5'
_symmetry_space_group_name_H-M 'P 4/m m m'
_symmetry_Int_Tables_number 123
_symmetry_space_group_name_Hall '-P 4 2'
_cell_length_a 3.8294
_cell_length_b 3.8294
_cell_length_c 19.3591
_cell_angle_alpha 90.00
_cell_angle_beta 90.00
_cell_angle_gamma 90.00
loop_
_atom_site_label
_atom_site_type_symbol
_atom_site_fract_x
_atom_site_fract_y
_atom_site_fract_z
Ce1 Ce 0.0000 0.0000 0.0000
Sm1 Sm 0.0000 0.0000 0.2007
Sm2 Sm 0.0000 0.0000 0.4002
Mg1 Mg 0.5000 0.5000 0.1012
Mg2 Mg 0.5000 0.5000 0.3007
Mg3 Mg 0.5000 0.5000 0.5000
```



No. 2
Structure and calculated powder diffractogram of Sn (DFT lattice parameters and positions (PBE); Cu Kα (λ = 1.5418 Å)).
No peak broadening, texture or thermal motion is included.

Most intense lines, 10 to 90 degrees two-theta, in order of rising 2θ:
2θ 30.31, I = 100.0; 2θ 31.48, I = 90.8; 2θ 43.39, I = 38.3; 2θ 44.26, I = 72.5; 2θ 61.33, I = 28.3; 2θ 78.09, I = 29.6

Structure:
```
data_Sn
_chemical_formula_sum 'Sn4'
_symmetry_space_group_name_H-M 'I 41/a m d'
_symmetry_Int_Tables_number 141
_cell_length_a 5.8979
_cell_length_b 5.8979
_cell_length_c 3.2434
_cell_angle_alpha 90.00
_cell_angle_beta 90.00
_cell_angle_gamma 90.00
loop_
_symmetry_equiv_pos_as_xyz
'x,y,z'
'-x,-y,-z'
'-y+1/4,x+3/4,z+1/4'
'y+1/4,-x+3/4,-z+1/4'
'-x+1/2,-y,z+1/2'
'x+1/2,y,-z+1/2'
'y+1/4,-x+1/4,z+3/4'
'-y+1/4,x+1/4,-z+3/4'
'x,-y,-z'
'-x,y,z'
'-y+1/4,-x+1/4,-z+3/4'
'y+1/4,x+1/4,z+3/4'
'-x+1/2,y,-z+1/2'
'x+1/2,-y,z+1/2'
'y+1/4,x+3/4,-z+1/4'
'-y+1/4,-x+3/4,z+1/4'
'x+1/2,y+1/2,z+1/2'
'-x+1/2,-y+1/2,-z+1/2'
'-y+3/4,x+1/4,z+3/4'
'y+3/4,-x+1/4,-z+3/4'
'-x,-y+1/2,z'
'x,y+1/2,-z'
'y+3/4,-x+3/4,z+1/4'
'-y+3/4,x+3/4,-z+1/4'
'x+1/2,-y+1/2,-z+1/2'
'-x+1/2,y+1/2,z+1/2'
'-y+3/4,-x+3/4,-z+1/4'
'y+3/4,x+3/4,z+1/4'
'-x,y+1/2,-z'
'x,-y+1/2,z'
'y+3/4,x+1/4,-z+3/4'
'-y+3/4,-x+1/4,z+3/4'
loop_
_atom_site_label
_atom_site_type_symbol
_atom_site_fract_x
_atom_site_fract_y
_atom_site_fract_z
Sn1 Sn 0.0000 0.2500 0.3750
```



No. 3
Structure and calculated powder diffractogram of Dy2Tm3Cu4 (DFT lattice parameters and positions (PBE); Cu Kα (λ = 1.5418 Å)).
No peak broadening, texture or thermal motion is included.

Most intense lines, 10 to 90 degrees two-theta, in order of rising 2θ:
2θ 33.40, I = 99.4; 2θ 33.64, I = 85.6; 2θ 33.85, I = 49.0; 2θ 34.96, I = 100.0; 2θ 35.92, I = 86.8; 2θ 40.78, I = 62.7

Structure:
```
data_Dy2Tm3Cu4
_chemical_formula_sum 'Dy4 Tm6 Cu8'
_symmetry_space_group_name_H-M 'P 1 21/c 1'
_symmetry_Int_Tables_number 14
_cell_length_a 8.4029
_cell_length_b 7.1845
_cell_length_c 6.9863
_cell_angle_alpha 90.00
_cell_angle_beta 109.03
_cell_angle_gamma 90.00
loop_
_symmetry_equiv_pos_as_xyz
'x,y,z'
'-x,-y,-z'
'-x,y+1/2,-z+1/2'
'x,-y+1/2,z+1/2'
loop_
_atom_site_label
_atom_site_type_symbol
_atom_site_fract_x
_atom_site_fract_y
_atom_site_fract_z
Dy1 Dy 0.1889 0.1797 0.0599
Tm1 Tm 0.2355 0.6745 0.2290
Tm2 Tm 0.5000 0.0000 0.5000
Cu1 Cu 0.0650 0.5312 0.8484
Cu2 Cu 0.4904 0.1254 0.8784
```



No. 4
Structure and calculated powder diffractogram of Cs12Au (DFT lattice parameters and positions (PBE); Cu Kα (λ = 1.5418 Å)).
No peak broadening, texture or thermal motion is included.

Most intense lines, 10 to 90 degrees two-theta, in order of rising 2θ:
2θ 20.59, I = 100.0; 2θ 22.58, I = 37.9; 2θ 24.42, I = 96.0; 2θ 38.48, I = 53.4; 2θ 40.78, I = 42.4; 2θ 47.11, I = 22.4

Structure:
```
data_Cs12Au
_chemical_formula_sum 'Cs24 Au2'
_symmetry_space_group_name_H-M 'I m -3'
_symmetry_Int_Tables_number 204
_symmetry_space_group_name_Hall '-I 2 2 3'
_cell_length_a 13.6403
_cell_length_b 13.6403
_cell_length_c 13.6403
_cell_angle_alpha 90.00
_cell_angle_beta 90.00
_cell_angle_gamma 90.00
loop_
_atom_site_label
_atom_site_type_symbol
_atom_site_fract_x
_atom_site_fract_y
_atom_site_fract_z
Cs1 Cs 0.0000 0.3004 0.1720
Au1 Au 0.0000 0.0000 0.0000
```



No. 5
Structure and calculated powder diffractogram of Y3TlS4 (DFT lattice parameters and positions (PBE); Cu Kα (λ = 1.5418 Å)).
No peak broadening, texture or thermal motion is included.

Most intense lines, 10 to 90 degrees two-theta, in order of rising 2θ:
2θ 27.69, I = 94.4; 2θ 30.56, I = 100.0; 2θ 32.40, I = 96.6; 2θ 44.36, I = 56.0; 2θ 45.77, I = 66.8; 2θ 53.11, I = 41.3

Structure:
```
data_Y3TlS4
_chemical_formula_sum 'Y6 Tl2 S8'
_symmetry_space_group_name_H-M 'P 63/m m c'
_symmetry_Int_Tables_number 194
_symmetry_space_group_name_Hall '-P 6c 2c'
_cell_length_a 3.9647
_cell_length_b 3.9647
_cell_length_c 27.9435
_cell_angle_alpha 90.00
_cell_angle_beta 90.00
_cell_angle_gamma 120.00
loop_
_atom_site_label
_atom_site_type_symbol
_atom_site_fract_x
_atom_site_fract_y
_atom_site_fract_z
Y1 Y 0.0000 0.0000 0.0000
Y2 Y 0.3333 0.6667 0.1137
Tl1 Tl 0.3333 0.6667 0.7500
S1 S 0.0000 0.0000 0.1677
S2 S 0.3333 0.6667 0.5570
```



No. 6
Structure and calculated powder diffractogram of Nd4ErS7 (DFT lattice parameters and positions (PBE); Cu Kα (λ = 1.5418 Å)).
No peak broadening, texture or thermal motion is included.

Most intense lines, 10 to 90 degrees two-theta, in order of rising 2θ:
2θ 23.41, I = 100.0; 2θ 23.81, I = 93.9; 2θ 26.92, I = 46.2; 2θ 30.55, I = 44.4; 2θ 32.14, I = 70.4; 2θ 45.96, I = 46.0

Structure:
```
data_Nd4ErS7
_chemical_formula_sum 'Nd8 Er2 S14'
_symmetry_space_group_name_H-M 'C 1 m 1'
_symmetry_Int_Tables_number 8
_cell_length_a 13.2508
_cell_length_b 3.9274
_cell_length_c 11.8667
_cell_angle_alpha 90.00
_cell_angle_beta 105.17
_cell_angle_gamma 90.00
loop_
_symmetry_equiv_pos_as_xyz
'x,y,z'
'x,-y,z'
'x+1/2,y+1/2,z'
'x+1/2,-y+1/2,z'
loop_
_atom_site_label
_atom_site_type_symbol
_atom_site_fract_x
_atom_site_fract_y
_atom_site_fract_z
Nd1 Nd 0.0000 0.0000 0.0000
Nd2 Nd 0.0873 0.5000 0.3823
Nd3 Nd 0.1902 0.0000 0.7678
Nd4 Nd 0.3879 0.5000 0.5720
Er1 Er 0.2763 0.5000 0.1527
S1 S 0.0487 0.5000 0.6260
S2 S 0.1321 0.5000 0.9332
S3 S 0.1573 0.0000 0.2220
S4 S 0.2271 0.0000 0.5232
S5 S 0.3479 0.5000 0.7901
S6 S 0.3827 0.0000 0.0788
S7 S 0.4271 0.5000 0.3525
```